Record 1
Structure and calculated X-ray powder pattern of Ac3Mg2Ga3 (a DFT-relaxed cell (GGA-PBE, Alexandria); Cu Kα, 1.54184 Å).

Principal peaks in the range 2θ = 10–90°, most intense first:
hkl 1 1 4, 32.58 deg, intensity 100; hkl 0 1 5, 26.07 deg, intensity 31; hkl 0 2 0, 35.39 deg, intensity 29; hkl 1 1 12, 56.02 deg, intensity 23; hkl 1 0 1, 22.75 deg, intensity 23; hkl 0 0 8, 30.93 deg, intensity 21; hkl 1 1 2, 29.63 deg, intensity 20; hkl 1 3 4, 61.79 deg, intensity 18

Structure:
```
data_Ac3Mg2Ga3
_cell_length_a 3.966
_cell_length_b 5.071
_cell_length_c 23.132
_cell_angle_alpha 90.00
_cell_angle_beta 90.00
_cell_angle_gamma 90.00
_symmetry_space_group_name_H-M 'I m m m'
_symmetry_Int_Tables_number 71
_symmetry_space_group_name_Hall '-I 2 2'
loop_
_atom_site_label
_atom_site_type_symbol
_atom_site_fract_x
_atom_site_fract_y
_atom_site_fract_z
Ac1 Ac 0.000 0.000 0.000
Ac2 Ac 0.000 0.500 0.124
Mg1 Mg 0.000 0.000 0.250
Ga1 Ga 0.000 0.000 0.500
Ga2 Ga 0.000 0.500 0.338
```



Record 2
Structure and calculated X-ray powder pattern of K2H2Cl5 (a DFT-relaxed cell (GGA-PBE, Alexandria); Cu Kα, 1.54184 Å).

Principal peaks in the range 2θ = 10–90°, most intense first:
hkl 6 0 -2, 26.88 deg, intensity 100; hkl 4 2 0, 36.60 deg, intensity 76; hkl 6 0 -1, 24.27 deg, intensity 74; hkl 3 1 -3, 34.45 deg, intensity 53; hkl 3 1 1, 25.80 deg, intensity 52; hkl 2 2 -2, 37.97 deg, intensity 41; hkl 3 1 -2, 26.07 deg, intensity 41; hkl 6 0 0, 26.52 deg, intensity 40

Structure:
```
data_K2H2Cl5
_cell_length_a 21.996
_cell_length_b 5.623
_cell_length_c 8.810
_cell_angle_alpha 90.00
_cell_angle_beta 113.53
_cell_angle_gamma 90.00
_symmetry_space_group_name_H-M 'C 1 2 1'
_symmetry_Int_Tables_number 5
loop_
_symmetry_equiv_pos_as_xyz
'x,y,z'
'-x,y,-z'
'x+1/2,y+1/2,z'
'-x+1/2,y+1/2,-z'
loop_
_atom_site_label
_atom_site_type_symbol
_atom_site_fract_x
_atom_site_fract_y
_atom_site_fract_z
K1 K 0.139 0.000 0.136
K2 K 0.139 0.500 0.641
H1 H 0.000 0.214 0.500
H2 H 0.000 0.714 0.000
H3 H 0.250 0.498 0.131
Cl1 Cl 0.019 0.230 0.349
Cl2 Cl 0.019 0.730 0.189
Cl3 Cl 0.172 0.999 0.793
Cl4 Cl 0.173 0.499 0.052
Cl5 Cl 0.250 0.253 0.500
```